Theoretical powder X-ray diffraction pattern
Compound: Sr2GdCu2RuO8
Radiation: λ = 1.5418 Å (Cu Kα)
Structure: a cell relaxed with PBE
Intensities are scaled so that the largest is 100.

Structure:
Unit cell a=5.4725 b=5.4725 c=11.7407 alpha=90.00 beta=90.00 gamma=90.00
Fractional coordinates of all 28 atoms:
Sr1 0.0000 0.5000 0.1899
Sr2 0.0000 0.5000 0.8101
Sr3 0.5000 0.0000 0.1899
Sr4 0.5000 0.0000 0.8101
Gd1 0.0000 0.5000 0.5000
Gd2 0.5000 0.0000 0.5000
Cu1 0.0000 0.0000 0.3570
Cu2 0.0000 0.0000 0.6430
Cu3 0.5000 0.5000 0.3570
Cu4 0.5000 0.5000 0.6430
Ru1 0.0000 0.0000 0.0000
Ru2 0.5000 0.5000 0.0000
O1 0.0000 0.0000 0.1672
O2 0.0000 0.0000 0.8328
O3 0.1830 0.3170 0.0000
O4 0.2505 0.2495 0.3732
O5 0.2505 0.2495 0.6268
O6 0.2495 0.7495 0.3732
O7 0.2495 0.7495 0.6268
O8 0.3170 0.8170 0.0000
O9 0.5000 0.5000 0.1672
O10 0.5000 0.5000 0.8328
O11 0.6830 0.1830 0.0000
O12 0.7505 0.2505 0.3732
O13 0.7505 0.2505 0.6268
O14 0.7495 0.7505 0.3732
O15 0.7495 0.7505 0.6268
O16 0.8170 0.6830 0.0000

Largest 10 diffraction maxima, by angle, 10 to 90 degrees two-theta:
| two_theta | I (rel.) | (hkl) |
| --- | --- | --- |
| 24.22 | 12 | 1 1 1 |
| 32.54 | 100 | 1 1 3 |
| 32.73 | 52 | 2 0 0 |
| 38.50 | 11 | 1 1 4 |
| 46.40 | 10 | 0 0 6 |
| 46.96 | 32 | 2 2 0 |
| 57.94 | 16 | 2 0 6 |
| 58.30 | 40 | 3 1 3 |
| 68.16 | 11 | 2 2 6 |
| 78.10 | 9 | 4 2 0 |